1.
The following is a calculated powder XRD pattern of UP2N6. It was derived from a crystal structure in Alexandria, relaxed with GGA-PBE, using Cu Ka.

Cell and atoms:
Lattice parameters (Å, degrees): 5.5611 5.5611 6.0582 101.28 101.28 38.51
Atoms (fractional coordinates):
U (0.0000, 0.0000, 0.0000)
P (0.2515, 0.2515, 0.6674)
P (0.7485, 0.7485, 0.3326)
N (0.1195, 0.1195, 0.7697)
N (0.2456, 0.2456, 0.3849)
N (0.3895, 0.3895, 0.8579)
N (0.6105, 0.6105, 0.1421)
N (0.7544, 0.7544, 0.6151)
N (0.8805, 0.8805, 0.2303)

Peak list (10 most intense, 2θ = 5–70°, in order of falling intensity)
d [Å]	2θ (°)	I/Imax
4.353	20.4	100
5.927	14.9	92
2.898	30.9	74
3.454	25.8	73
3.536	25.2	64
5.136	17.3	32
2.833	31.6	31
2.442	36.8	31
2.503	35.9	31
2.176	41.5	30


2.
The following is a calculated powder XRD pattern of V6P3N. It was derived from a crystal structure in Alexandria, relaxed with GGA-PBE, using Cu Ka.

Cell and atoms:
Lattice parameters (Å, degrees): 5.6086 5.6086 6.2359 120.45 120.45 54.28
Atoms (fractional coordinates):
V (0.1658, 0.6695, 0.6373)
V (0.2703, 0.2703, 0.1590)
V (0.3305, 0.8342, 0.3627)
V (0.6695, 0.1658, 0.6373)
V (0.7297, 0.7297, 0.8410)
V (0.8342, 0.3305, 0.3627)
P (0.0000, 0.0000, 0.0000)
P (0.2597, 0.2597, 0.7613)
P (0.7403, 0.7403, 0.2387)
N (0.5000, 0.5000, 0.5000)

Peak list (10 most intense, 2θ = 5–70°, in order of falling intensity)
d [Å]	2θ (°)	I/Imax
1.976	45.9	100
2.444	36.8	89
2.569	34.9	88
2.289	39.4	72
2.171	41.6	67
2.044	44.3	51
1.768	51.7	43
1.600	57.6	43
3.952	22.5	28
2.403	37.4	28


- Number 2 is which compound?
  V6P3N